Record 1
The following is a computed XRD peak list of AcPmN. It was derived from a crystal structure in Alexandria, relaxed with PBE, using a wavelength of 1.5418 Å.
No peak broadening, texture or thermal motion is included.

Top 6 peaks for 2θ = 10–90°, by intensity:
2theta, intensity
30.69, 100
38.72, 30
26.65, 25
49.65, 22
27.57, 22
48.75, 21

abc: 3.736 3.736 6.691
angles: 90.00 90.00 120.00
Fractional positions:
Ac 0.000 0.000 0.000
Pm 0.333 0.667 0.429
N 0.667 0.333 0.250

=====

Record 2
The following is a computed XRD peak list of Tm4InPd3. It was derived from a crystal structure in Alexandria, relaxed with PBE, using a wavelength of 1.5418 Å.
No peak broadening, texture or thermal motion is included.

Top 6 peaks for 2θ = 10–90°, by intensity:
2theta, intensity
35.93, 100
36.04, 50
64.73, 36
51.89, 18
64.52, 17
87.51, 16

abc: 9.967 7.090 4.984
angles: 90.00 90.00 90.00
Fractional positions:
Tm 0.000 0.237 0.000
Tm 0.000 0.763 0.000
Tm 0.250 0.237 0.500
Tm 0.250 0.763 0.500
Tm 0.500 0.237 0.000
Tm 0.500 0.763 0.000
Tm 0.750 0.237 0.500
Tm 0.750 0.763 0.500
In 0.000 0.500 0.500
In 0.500 0.500 0.500
Pd 0.000 0.000 0.500
Pd 0.250 0.000 0.001
Pd 0.250 0.500 0.002
Pd 0.500 0.000 0.500
Pd 0.750 0.000 0.999
Pd 0.750 0.500 0.998

=====

Record 3
The following is a computed XRD peak list of Tb5Pr4. It was derived from a crystal structure in Alexandria, relaxed with PBE, using a wavelength of 1.5418 Å.
No peak broadening, texture or thermal motion is included.

Top 6 peaks for 2θ = 10–90°, by intensity:
2theta, intensity
30.17, 100
50.29, 36
34.94, 34
59.72, 29
35.04, 17
59.87, 14

abc: 8.119 8.119 8.119
angles: 95.71 95.71 143.23
Fractional positions:
Tb 0.000 0.000 0.000
Tb 0.000 0.335 0.335
Tb 0.000 0.665 0.665
Tb 0.335 0.000 0.335
Tb 0.665 0.000 0.665
Pr 0.333 0.333 0.667
Pr 0.333 0.667 0.000
Pr 0.667 0.333 0.000
Pr 0.667 0.667 0.333

=====

Record 4
The following is a computed XRD peak list of Sr6MgHg. It was derived from a crystal structure in Alexandria, relaxed with PBE, using a wavelength of 1.5418 Å.
No peak broadening, texture or thermal motion is included.

Top 6 peaks for 2θ = 10–90°, by intensity:
2theta, intensity
27.61, 100
30.49, 50
52.44, 34
15.71, 24
43.66, 19
33.88, 17

abc: 11.113 11.113 11.113
angles: 149.40 149.40 43.82
Fractional positions:
Sr 0.096 0.596 0.500
Sr 0.248 0.248 0.000
Sr 0.404 0.904 0.500
Sr 0.596 0.096 0.500
Sr 0.752 0.752 0.000
Sr 0.904 0.404 0.500
Mg 0.000 0.000 0.000
Hg 0.500 0.500 0.000